No. 1
The following is a simulated X-ray powder pattern of ZnPd14Pb. It was derived from a PBE-relaxed structure, using Cu Kα X-rays.
Peak positions follow from Bragg's law for the DFT cell and can differ from measured ones.

Main lines, low angle first (5° ≤ 2θ ≤ 70°):
2θ 15.56, I = 1.7; 2θ 19.33, I = 3.1; 2θ 27.81, I = 1.9; 2θ 35.24, I = 1.0; 2θ 37.15, I = 1.3; 2θ 39.23, I = 100.0; 2θ 45.02, I = 33.6; 2θ 46.79, I = 15.0; 2θ 65.57, I = 10.7; 2θ 66.95, I = 20.1

Structural model:
```
ZnPd14Pb
1.0
5.695 0.000 0.000
0.000 5.695 0.000
0.000 0.000 7.766
Zn Pd Pb
1 14 1
Direct
0.000 0.000 0.000
0.000 0.000 0.500
0.000 0.500 0.000
0.000 0.500 0.500
0.246 0.246 0.250
0.246 0.246 0.750
0.246 0.754 0.250
0.246 0.754 0.750
0.500 0.000 0.000
0.500 0.000 0.500
0.500 0.500 0.500
0.754 0.246 0.250
0.754 0.246 0.750
0.754 0.754 0.250
0.754 0.754 0.750
0.500 0.500 0.000
```

***

No. 2
The following is a simulated X-ray powder pattern of ZnPd6Pb2. It was derived from a PBE-relaxed structure, using Cu Kα X-rays.
Peak positions follow from Bragg's law for the DFT cell and can differ from measured ones.

Main lines, low angle first (5° ≤ 2θ ≤ 70°):
2θ 22.68, I = 36.3; 2θ 30.46, I = 100.0; 2θ 39.32, I = 69.2; 2θ 40.82, I = 91.2; 2θ 41.95, I = 93.0; 2θ 42.05, I = 92.2; 2θ 50.45, I = 23.4; 2θ 50.62, I = 23.0; 2θ 57.93, I = 22.9; 2θ 68.64, I = 22.0

Structural model:
```
ZnPd6Pb2
1.0
7.051 -3.785 0.000
7.051 3.785 0.000
-0.708 0.000 3.104
Zn Pd Pb
1 6 2
Direct
0.000 0.000 0.000
0.023 0.646 0.834
0.269 0.731 0.500
0.354 0.977 0.166
0.646 0.023 0.834
0.731 0.269 0.500
0.977 0.354 0.166
0.341 0.341 0.340
0.659 0.659 0.660
```

***

No. 3
The following is a simulated X-ray powder pattern of Zr2Pd6Pb. It was derived from a PBE-relaxed structure, using Cu Kα X-rays.
Peak positions follow from Bragg's law for the DFT cell and can differ from measured ones.

Main lines, low angle first (5° ≤ 2θ ≤ 70°):
2θ 13.13, I = 19.5; 2θ 32.17, I = 79.9; 2θ 38.38, I = 56.8; 2θ 39.82, I = 78.4; 2θ 40.11, I = 100.0; 2θ 45.38, I = 42.3; 2θ 45.89, I = 39.2; 2θ 60.64, I = 17.8; 2θ 65.93, I = 17.5; 2θ 68.69, I = 17.7

Structural model:
```
Zr2Pd6Pb
1.0
3.842 -7.036 0.000
3.842 7.036 0.000
0.000 0.000 3.054
Zr Pd Pb
2 6 1
Direct
0.187 0.813 0.000
0.813 0.187 0.000
0.147 0.471 0.500
0.175 0.175 0.000
0.471 0.147 0.500
0.529 0.853 0.500
0.825 0.825 0.000
0.853 0.529 0.500
0.500 0.500 0.500
```

***

No. 4
The following is a simulated X-ray powder pattern of Pm3Pb2. It was derived from a PBE-relaxed structure, using Cu Kα X-rays.
Peak positions follow from Bragg's law for the DFT cell and can differ from measured ones.

Main lines, low angle first (5° ≤ 2θ ≤ 70°):
2θ 22.73, I = 23.7; 2θ 28.13, I = 69.6; 2θ 30.31, I = 32.4; 2θ 31.33, I = 100.0; 2θ 32.03, I = 76.1; 2θ 35.85, I = 38.2; 2θ 46.42, I = 35.7; 2θ 51.83, I = 24.8; 2θ 61.59, I = 26.0; 2θ 67.55, I = 22.6

Structural model:
```
Pm3Pb2
1.0
-3.173 3.173 7.994
3.173 -3.173 7.994
3.173 3.173 -7.994
Pm Pb
6 4
Direct
0.000 0.000 0.000
0.000 0.000 0.500
0.000 0.500 0.000
0.375 0.625 0.750
0.500 0.000 0.500
0.625 0.375 0.250
0.176 0.426 0.750
0.426 0.176 0.250
0.574 0.824 0.750
0.824 0.574 0.250
```